Structure and simulated powder XRD pattern of TbFe3B4O12 (the GGA+U geometry in the Materials Project; copper Kα).
Intensities are scaled so that the largest is 100.

Main lines, low angle first (2θ = 5–70°):
d/Å	2θ (°)	I (rel.)	hkl
5.646	15.69	32	1 0 1
4.819	18.41	26	1 1 0
3.665	24.28	82	0 2 1
2.917	30.64	28	2 1 1
2.823	31.69	100	2 0 2
2.436	36.90	18	1 2 2
2.409	37.32	26	2 2 0
1.982	45.79	21	3 1 2
1.753	52.17	30	2 2 3
1.742	52.54	20	0 2 4

Structure:
a = 9.6379 Å, b = 9.6379 Å, c = 7.6668 Å
α = 90.00°, β = 90.00°, γ = 120.00°
Space group R32 (No. 155, hexagonal axes)
Inequivalent atoms, fractional coordinates:
Tb1 0.0000 0.0000 0.0000 (multiplicity 3)
Fe1 0.0000 0.4499 0.0000 (multiplicity 9)
B1 0.0000 0.0000 0.5000 (multiplicity 3)
B2 0.0000 0.5522 0.5000 (multiplicity 9)
O1 0.0000 0.1436 0.5000 (multiplicity 9)
O2 0.0000 0.4086 0.5000 (multiplicity 9)
O3 0.0246 0.8135 0.1804 (multiplicity 18)

Structure and simulated powder XRD pattern of YFe3B4O12 (the GGA+U geometry in the Materials Project; copper Kα).
Intensities are scaled so that the largest is 100.

Main lines, low angle first (2θ = 5–70°):
d/Å	2θ (°)	I (rel.)	hkl
4.808	18.45	15	1 1 0
3.658	24.33	67	2 0 1
2.911	30.71	22	1 2 1
2.818	31.75	100	0 2 2
2.404	37.41	21	2 2 0
2.009	45.13	15	0 4 1
1.978	45.88	27	1 3 2
1.750	52.27	27	2 2 3
1.739	52.62	18	2 0 4
1.603	57.50	9	3 3 0

Structure:
a = 9.6163 Å, b = 9.6163 Å, c = 7.6574 Å
α = 90.00°, β = 90.00°, γ = 120.00°
Space group P3_121 (No. 152)
Inequivalent atoms, fractional coordinates:
Y1 0.0000 0.6644 0.1667 (multiplicity 3)
Fe1 0.0000 0.1154 0.1667 (multiplicity 3)
Fe2 0.2117 0.5486 0.8450 (multiplicity 6)
B1 0.0000 0.2215 0.6667 (multiplicity 3)
B2 0.0000 0.6676 0.6667 (multiplicity 3)
B3 0.1261 0.4487 0.3496 (multiplicity 6)
O1 0.0000 0.0778 0.6667 (multiplicity 3)
O2 0.0000 0.8114 0.6667 (multiplicity 3)
O3 0.0065 0.4737 0.9806 (multiplicity 6)
O4 0.1234 0.3053 0.3229 (multiplicity 6)
O5 0.1448 0.6701 0.6761 (multiplicity 6)
O6 0.1469 0.3611 0.6862 (multiplicity 6)
O7 0.2778 0.5808 0.3753 (multiplicity 6)

Structure and simulated powder XRD pattern of YFe3B4O12 (the GGA+U geometry in the Materials Project; copper Kα).
Intensities are scaled so that the largest is 100.

Main lines, low angle first (2θ = 5–70°):
d/Å	2θ (°)	I (rel.)	hkl
4.823	18.39	14	1 1 0
3.665	24.28	64	0 2 1
2.918	30.64	21	2 1 1
2.819	31.74	100	2 0 2
2.412	37.28	21	2 2 0
2.015	45.00	15	4 0 1
1.981	45.80	27	3 1 2
1.751	52.24	27	2 2 3
1.737	52.69	19	0 2 4
1.473	63.11	14	1 3 4

Structure:
a = 9.6468 Å, b = 9.6468 Å, c = 7.6411 Å
α = 90.00°, β = 90.00°, γ = 120.00°
Space group R32 (No. 155, hexagonal axes)
Inequivalent atoms, fractional coordinates:
Y1 0.0000 0.0000 0.0000 (multiplicity 3)
Fe1 0.0000 0.5467 0.0000 (multiplicity 9)
B1 0.0000 0.0000 0.5000 (multiplicity 3)
B2 0.0000 0.4524 0.5000 (multiplicity 9)
O1 0.0000 0.5950 0.5000 (multiplicity 9)
O2 0.0000 0.8566 0.5000 (multiplicity 9)
O3 0.0201 0.2073 0.1820 (multiplicity 18)

Structure and simulated powder XRD pattern of ZnFeBO4 (the GGA+U geometry in the Materials Project; copper Kα).
Intensities are scaled so that the largest is 100.

Main lines, low angle first (2θ = 5–70°):
d/Å	2θ (°)	I (rel.)	hkl
6.632	13.35	13	0 1 1
4.196	21.17	29	0 2 1
2.969	30.10	18	0 3 1
2.604	34.44	100	1 0 2
2.214	40.75	13	1 3 0
2.002	45.30	14	1 2 3
1.807	50.51	14	1 3 3
1.610	57.23	19	1 3 4
1.522	60.88	11	1 2 5
1.385	67.63	11	1 6 1

Structure:
a = 3.135 Å, b = 9.389 Å, c = 9.370 Å
α = 90.00°, β = 90.00°, γ = 90.00°
Space group Pmc2_1 (No. 26)
Inequivalent atoms, fractional coordinates:
Zn1 0.000 0.052 0.000 (multiplicity 2)
Zn2 0.000 0.312 0.516 (multiplicity 2)
Fe1 0.500 0.183 0.275 (multiplicity 2)
Fe2 0.500 0.443 0.797 (multiplicity 2)
B1 0.000 0.372 0.070 (multiplicity 2)
B2 0.500 0.127 0.742 (multiplicity 2)
O1 0.000 0.135 0.393 (multiplicity 2)
O2 0.000 0.242 0.137 (multiplicity 2)
O3 0.000 0.383 0.922 (multiplicity 2)
O4 0.000 0.500 0.148 (multiplicity 2)
O5 0.500 0.001 0.165 (multiplicity 2)
O6 0.500 0.129 0.887 (multiplicity 2)
O7 0.500 0.259 0.670 (multiplicity 2)
O8 0.500 0.366 0.372 (multiplicity 2)

Structure and simulated powder XRD pattern of Ni5GeB2O10 (the GGA+U geometry in the Materials Project; copper Kα).
Intensities are scaled so that the largest is 100.

Main lines, low angle first (2θ = 5–70°):
d/Å	2θ (°)	I (rel.)	hkl
5.126	17.30	70	0 1 2
2.786	32.12	26	0 3 2
2.563	35.01	100	0 2 4
2.531	35.47	82	1 2 0
2.341	38.46	46	1 1 3
2.043	44.33	34	1 3 2
1.914	47.50	35	1 3 3
1.583	58.29	26	1 4 4
1.491	62.26	34	1 1 7
1.484	62.59	26	1 5 3

Structure:
a = 3.004 Å, b = 9.394 Å, c = 12.234 Å
α = 90.00°, β = 90.00°, γ = 90.00°
Space group Pmc2_1 (No. 26)
Inequivalent atoms, fractional coordinates:
Ni1 0.000 0.013 0.000 (multiplicity 2)
Ni2 0.000 0.236 0.611 (multiplicity 2)
Ni3 0.500 0.240 0.113 (multiplicity 2)
Ni4 0.500 0.240 0.399 (multiplicity 2)
Ni5 0.500 0.242 0.835 (multiplicity 2)
Ge1 0.000 0.491 0.230 (multiplicity 2)
B1 0.000 0.025 0.255 (multiplicity 2)
B2 0.000 0.484 0.977 (multiplicity 2)
O1 0.000 0.099 0.352 (multiplicity 2)
O2 0.000 0.101 0.158 (multiplicity 2)
O3 0.000 0.125 0.755 (multiplicity 2)
O4 0.000 0.372 0.475 (multiplicity 2)
O5 0.000 0.407 0.076 (multiplicity 2)
O6 0.000 0.410 0.876 (multiplicity 2)
O7 0.500 0.139 0.539 (multiplicity 2)
O8 0.500 0.148 0.972 (multiplicity 2)
O9 0.500 0.366 0.259 (multiplicity 2)
O10 0.500 0.379 0.696 (multiplicity 2)